Theoretical X-ray diffraction stick pattern of Gd2W2O9 for a wavelength of 1.5418 Å, from a cell relaxed with GGA+U.
Peak positions follow from Bragg's law for the DFT cell and can differ from measured ones.

Largest 10 diffraction maxima, low angle first, 10° ≤ 2θ ≤ 90°:
2θ/deg, I/Imax, h k l
22.1, 25, 6 0 0
23.3, 66, 1 1 1
27.4, 96, 4 1 1
29.6, 100, 8 0 0
32.5, 25, 1 0 2
33.4, 30, 0 2 0
45.2, 20, 8 2 0
47.2, 20, 9 0 2
47.3, 23, 1 2 2
54.9, 20, 13 1 1

```
52
Lattice="24.119 0.000 0.000 0.000 5.372 0.000 0.000 0.000 5.547" Properties=species:S:1:pos:R:3 pbc="T T T"
Gd 4.854 1.209 0.459
Gd 4.854 4.163 3.232
Gd 7.206 1.477 3.232
Gd 7.206 3.895 0.459
Gd 16.913 1.477 5.088
Gd 16.913 3.895 2.314
Gd 19.265 1.209 2.314
Gd 19.265 4.163 5.088
W 1.837 1.344 3.765
W 1.837 4.028 0.991
W 10.222 1.342 0.991
W 10.222 4.030 3.765
W 13.897 1.342 1.782
W 13.897 4.030 4.555
W 22.281 1.344 4.555
W 22.281 4.028 1.782
O 0.000 1.852 4.160
O 0.000 3.520 1.387
O 1.421 0.217 2.385
O 1.421 5.155 5.158
O 2.319 2.505 5.525
O 2.319 2.867 2.752
O 3.586 0.710 3.981
O 3.586 4.662 1.208
O 5.839 2.667 1.888
O 5.839 2.705 4.661
O 6.220 0.019 4.661
O 6.220 5.353 1.888
O 8.474 1.976 1.208
O 8.474 3.396 3.981
O 9.741 0.181 2.752
O 9.741 5.191 5.525
O 10.638 2.469 5.158
O 10.638 2.903 2.385
O 12.059 0.834 1.387
O 12.059 4.538 4.160
O 13.481 2.469 3.162
O 13.481 2.903 0.388
O 14.378 0.181 0.022
O 14.378 5.191 2.795
O 15.645 1.976 1.565
O 15.645 3.396 4.338
O 17.898 0.019 3.659
O 17.898 5.353 0.885
O 18.280 2.667 0.885
O 18.280 2.705 3.659
O 20.533 0.710 4.338
O 20.533 4.662 1.565
O 21.800 2.505 2.795
O 21.800 2.867 0.022
O 22.698 0.217 0.388
O 22.698 5.155 3.162
```